# Li2Cr3O6
Computed XRD peak list, Cu Kα (λ = 1.5418 Å). Input: a cell relaxed with GGA+U.

Peak list (10 most intense, 10° ≤ 2θ ≤ 90°, low angle first)
2θ = 17.5°, d 5.063, I 100, (0 0 2)
2θ = 35.0°, d 2.562, I 7, (0 2 0)
2θ = 35.9°, d 2.500, I 28, (3 1 1)
2θ = 39.2°, d 2.299, I 9, (3 1 2)
2θ = 39.4°, d 2.286, I 15, (0 2 2)
2θ = 44.2°, d 2.050, I 32, (3 1 3)
2θ = 50.7°, d 1.801, I 13, (0 2 4)
2θ = 57.9°, d 1.593, I 17, (3 1 5)
2θ = 63.4°, d 1.467, I 15, (3 3 1)
2θ = 65.1°, d 1.432, I 5, (6 0 2)

Crystal structure
Lattice parameters (Å, degrees): 8.9577 5.1250 10.1263 90.00 90.00 90.00
Space group Cmce (No. 64)
Unique sites:
Li  0.2500  0.1065  0.2500
Cr  0.0000  0.0000  0.0000
Cr  0.1660  0.0000  0.5000
O  0.0000  0.1799  0.5933
O  0.1690  0.1605  0.8937